Entry 1:
This entry pairs a crystal structure of Rb2NpReN4 with its computed PXRD pattern. Radiation: CuKα. Structure: DFT lattice parameters and positions (PBE).

Atomic structure:
Unit cell a=6.479 b=7.271 c=7.260 alpha=90.00 beta=90.00 gamma=90.00
Fractional positions:
Rb: 0.250 0.001 0.208
Rb: 0.250 0.499 0.208
Rb: 0.750 0.501 0.792
Rb: 0.750 0.999 0.792
Np: 0.250 0.250 0.670
Np: 0.750 0.750 0.330
Re: 0.250 0.750 0.661
Re: 0.750 0.250 0.339
N: 0.019 0.750 0.512
N: 0.250 0.536 0.800
N: 0.250 0.964 0.800
N: 0.481 0.750 0.512
N: 0.519 0.250 0.488
N: 0.750 0.036 0.200
N: 0.750 0.464 0.200
N: 0.981 0.250 0.488

Most intense lines, 2θ = 5–70°, by angle:
d = 7.260 Å, 12.19°, I 29
d = 4.834 Å, 18.35°, I 33
d = 3.632 Å, 24.51°, I 32
d = 3.243 Å, 27.50°, I 68
d = 3.167 Å, 28.18°, I 45
d = 2.906 Å, 30.77°, I 100
d = 2.418 Å, 37.19°, I 27
d = 2.015 Å, 45.00°, I 20
d = 1.799 Å, 50.75°, I 25
d = 1.711 Å, 53.57°, I 28


Entry 2:
This entry pairs a crystal structure of RbNpTcN4 with its computed PXRD pattern. Radiation: CuKα. Structure: DFT lattice parameters and positions (PBE).

Atomic structure:
Unit cell a=5.973 b=5.937 c=7.963 alpha=90.00 beta=107.18 gamma=90.00
Fractional positions:
Rb: 0.206 0.250 0.431
Rb: 0.794 0.750 0.569
Np: 0.295 0.250 0.953
Np: 0.705 0.750 0.047
Tc: 0.241 0.750 0.148
Tc: 0.759 0.250 0.852
N: 0.018 0.750 0.940
N: 0.038 0.750 0.281
N: 0.452 0.514 0.160
N: 0.452 0.986 0.160
N: 0.548 0.014 0.840
N: 0.548 0.486 0.840
N: 0.962 0.250 0.719
N: 0.982 0.250 0.060

Most intense lines, 2θ = 5–70°, by angle:
d = 7.608 Å, 11.63°, I 100
d = 4.680 Å, 18.96°, I 20
d = 4.114 Å, 21.60°, I 36
d = 3.203 Å, 27.86°, I 40
d = 3.147 Å, 28.36°, I 28
d = 2.969 Å, 30.10°, I 39
d = 2.661 Å, 33.69°, I 22
d = 2.537 Å, 35.38°, I 24
d = 2.455 Å, 36.60°, I 29
d = 2.057 Å, 44.02°, I 20


Entry 3:
This entry pairs a crystal structure of Rb2NpWN4 with its computed PXRD pattern. Radiation: CuKα. Structure: DFT lattice parameters and positions (PBE).

Atomic structure:
Unit cell a=6.486 b=7.340 c=7.212 alpha=90.00 beta=90.00 gamma=90.00
Fractional positions:
Rb: 0.250 0.004 0.209
Rb: 0.250 0.496 0.209
Rb: 0.750 0.504 0.791
Rb: 0.750 0.996 0.791
Np: 0.250 0.250 0.681
Np: 0.750 0.750 0.319
W: 0.250 0.750 0.651
W: 0.750 0.250 0.349
N: 0.013 0.750 0.500
N: 0.250 0.532 0.793
N: 0.250 0.968 0.793
N: 0.487 0.750 0.500
N: 0.513 0.250 0.500
N: 0.750 0.032 0.207
N: 0.750 0.468 0.207
N: 0.987 0.250 0.500

Most intense lines, 2θ = 5–70°, by angle:
d = 7.212 Å, 12.27°, I 27
d = 4.823 Å, 18.40°, I 32
d = 3.606 Å, 24.69°, I 22
d = 3.271 Å, 27.26°, I 22
d = 3.243 Å, 27.50°, I 45
d = 3.152 Å, 28.32°, I 43
d = 2.921 Å, 30.61°, I 100
d = 2.411 Å, 37.29°, I 20
d = 1.804 Å, 50.61°, I 25
d = 1.709 Å, 53.63°, I 26


Entry 4:
This entry pairs a crystal structure of Np3ReN6 with its computed PXRD pattern. Radiation: CuKα. Structure: DFT lattice parameters and positions (PBE).

Atomic structure:
Unit cell a=6.456 b=6.456 c=6.456 alpha=97.22 beta=97.22 gamma=97.22
Fractional positions:
Np: 0.096 0.778 0.605
Np: 0.222 0.395 0.904
Np: 0.395 0.904 0.222
Np: 0.605 0.096 0.778
Np: 0.778 0.605 0.096
Np: 0.904 0.222 0.395
Re: 0.000 0.000 0.000
Re: 0.500 0.500 0.500
N: 0.068 0.923 0.310
N: 0.077 0.690 0.932
N: 0.192 0.438 0.553
N: 0.310 0.068 0.923
N: 0.438 0.553 0.192
N: 0.447 0.808 0.562
N: 0.553 0.192 0.438
N: 0.562 0.447 0.808
N: 0.690 0.932 0.077
N: 0.808 0.562 0.447
N: 0.923 0.310 0.068
N: 0.932 0.077 0.690

Most intense lines, 2θ = 5–70°, by angle:
d = 3.225 Å, 27.66°, I 42
d = 3.013 Å, 29.65°, I 100
d = 2.796 Å, 32.01°, I 13
d = 2.684 Å, 33.38°, I 17
d = 2.652 Å, 33.80°, I 90
d = 1.923 Å, 47.26°, I 50
d = 1.831 Å, 49.81°, I 32
d = 1.652 Å, 55.64°, I 18
d = 1.592 Å, 57.93°, I 21
d = 1.506 Å, 61.56°, I 22